Entry 1:
Theoretical powder diffractogram of K10Co4O9 for copper Kα, from a structure optimized by DFT (GGA+U).

Largest 10 diffraction maxima, sorted by position, 2θ from 15° to 90°:
2theta, intensity, hkl
29.21, 77, 2 0 -2
29.78, 51, 1 2 0
29.98, 39, 0 3 -2
31.24, 58, 0 2 1
31.87, 67, 1 -3 1
32.04, 100, 0 1 -3
32.91, 98, 2 -1 1
34.95, 55, 1 3 -3
35.19, 40, 2 2 -1
38.88, 52, -1 2 2

Structure:
Lattice parameters (Å, degrees): 6.817 9.139 9.171 119.18 109.65 91.50
Fractional positions:
K 0.000 0.000 0.000
K 0.007 0.423 0.486
K 0.190 0.418 0.145
K 0.358 0.263 0.738
K 0.374 0.886 0.326
K 0.508 0.084 0.012
K 0.538 0.707 0.610
K 0.713 0.535 0.182
K 0.900 0.555 0.850
K 0.908 0.975 0.348
Co 0.110 0.833 0.626
Co 0.414 0.700 0.933
Co 0.487 0.273 0.414
Co 0.823 0.160 0.737
O 0.074 0.063 0.747
O 0.123 0.721 0.405
O 0.167 0.752 0.788
O 0.221 0.175 0.368
O 0.324 0.572 0.009
O 0.585 0.413 0.354
O 0.677 0.797 0.972
O 0.713 0.191 0.541
O 0.759 0.234 0.934


Entry 2:
Theoretical powder diffractogram of K4Co7O14 for copper Kα, from a structure optimized by DFT (GGA+U).

Largest 10 diffraction maxima, sorted by position, 2θ from 15° to 90°:
2theta, intensity, hkl
28.11, 63, 0 0 4
29.83, 25, 2 0 2
34.94, 46, 2 1 0
37.79, 100, 2 1 2
41.11, 39, 2 1 3
45.43, 94, 2 1 4
56.33, 55, 2 1 6
62.66, 34, 1 4 0
64.55, 27, 1 4 2
69.63, 22, 2 1 8

Structure:
Lattice parameters (Å, degrees): 7.845 7.845 12.699 90.00 90.00 120.00
Fractional positions:
K 0.000 0.000 0.250
K 0.000 0.000 0.750
K 0.028 0.448 0.250
K 0.421 0.972 0.250
K 0.448 0.421 0.750
K 0.552 0.579 0.250
K 0.579 0.028 0.750
K 0.972 0.552 0.750
Co 0.000 0.000 0.000
Co 0.000 0.000 0.500
Co 0.146 0.717 0.006
Co 0.146 0.717 0.494
Co 0.283 0.429 0.006
Co 0.283 0.429 0.494
Co 0.429 0.146 0.506
Co 0.429 0.146 0.994
Co 0.571 0.854 0.006
Co 0.571 0.854 0.494
Co 0.717 0.571 0.506
Co 0.717 0.571 0.994
Co 0.854 0.283 0.506
Co 0.854 0.283 0.994
O 0.043 0.220 0.081
O 0.043 0.220 0.419
O 0.099 0.469 0.576
O 0.099 0.469 0.924
O 0.177 0.957 0.081
O 0.177 0.957 0.419
O 0.220 0.177 0.581
O 0.220 0.177 0.919
O 0.333 0.667 0.095
O 0.333 0.667 0.405
O 0.370 0.901 0.576
O 0.370 0.901 0.924
O 0.469 0.370 0.076
O 0.469 0.370 0.424
O 0.531 0.630 0.576
O 0.531 0.630 0.924
O 0.630 0.099 0.076
O 0.630 0.099 0.424
O 0.667 0.333 0.595
O 0.667 0.333 0.905
O 0.780 0.823 0.081
O 0.780 0.823 0.419
O 0.823 0.043 0.581
O 0.823 0.043 0.919
O 0.901 0.531 0.076
O 0.901 0.531 0.424
O 0.957 0.780 0.581
O 0.957 0.780 0.919


Entry 3:
Theoretical powder diffractogram of K6Co2O7 for copper Kα, from a structure optimized by DFT (GGA+U).

Largest 10 diffraction maxima, sorted by position, 2θ from 15° to 90°:
2theta, intensity, hkl
16.47, 58, 1 1 -1
16.73, 40, 1 0 -2
28.61, 45, 2 1 -2
29.85, 36, 2 1 -1
30.66, 84, 0 3 1
30.80, 56, 1 2 -3
31.32, 70, 1 0 2
33.81, 100, 1 1 -4
34.39, 69, 2 2 -1
37.33, 72, 1 3 1

Structure:
Lattice parameters (Å, degrees): 6.637 9.208 11.218 90.00 123.90 90.00
Fractional positions:
K 0.069 0.151 0.433
K 0.069 0.349 0.933
K 0.197 0.527 0.443
K 0.197 0.973 0.943
K 0.422 0.202 0.287
K 0.422 0.298 0.787
K 0.578 0.702 0.213
K 0.578 0.798 0.713
K 0.803 0.027 0.057
K 0.803 0.473 0.557
K 0.931 0.651 0.067
K 0.931 0.849 0.567
Co 0.310 0.643 0.864
Co 0.310 0.857 0.364
Co 0.690 0.143 0.636
Co 0.690 0.357 0.136
O 0.035 0.667 0.858
O 0.035 0.833 0.358
O 0.244 0.596 0.691
O 0.244 0.904 0.191
O 0.500 0.000 0.500
O 0.500 0.198 0.072
O 0.500 0.302 0.572
O 0.500 0.500 0.000
O 0.500 0.698 0.428
O 0.500 0.802 0.928
O 0.756 0.096 0.809
O 0.756 0.404 0.309
O 0.965 0.167 0.642
O 0.965 0.333 0.142